No. 1
The following is a computed powder X-ray diffraction pattern of La3Be2AlPd9. It was derived from a crystal structure in Alexandria, relaxed with PBE, using Cu Kα X-rays.
Peak positions follow from Bragg's law for the DFT cell and can differ from measured ones.

Atomic structure:
a b c (Å): 5.927 5.927 9.299
angles (deg): 90.00 90.00 120.00
Positions (direct):
La1 0.000 0.000 0.000
La2 0.333 0.667 0.659
La3 0.667 0.333 0.341
Be1 0.333 0.667 0.153
Be2 0.667 0.333 0.847
Al1 0.000 0.000 0.500
Pd1 0.000 0.500 0.000
Pd2 0.164 0.328 0.300
Pd3 0.164 0.836 0.300
Pd4 0.328 0.164 0.700
Pd5 0.500 0.000 0.000
Pd6 0.500 0.500 0.000
Pd7 0.672 0.836 0.300
Pd8 0.836 0.164 0.700
Pd9 0.836 0.672 0.700

Most intense lines, 2θ = 5–70°, by intensity:
2θ (°), d_spacing, I_rel
36.3, 2.474, 100.0
40.1, 2.247, 81.6
28.8, 3.100, 51.6
53.2, 1.723, 27.7
62.7, 1.482, 23.9
61.6, 1.506, 16.0
45.9, 1.977, 5.3
25.9, 3.446, 4.0
9.5, 9.299, 4.0
59.7, 1.550, 4.0



No. 2
The following is a computed powder X-ray diffraction pattern of Ba6Na2IrS. It was derived from a crystal structure in Alexandria, relaxed with PBE, using Cu Kα X-rays.
Peak positions follow from Bragg's law for the DFT cell and can differ from measured ones.

Atomic structure:
a b c (Å): 8.903 8.903 8.903
angles (deg): 119.99 119.99 90.02
Positions (direct):
Ba1 0.000 0.000 0.000
Ba2 0.000 0.000 0.510
Ba3 0.000 0.490 0.000
Ba4 0.490 0.000 0.000
Ba5 0.490 0.490 0.000
Ba6 0.490 0.490 0.490
Na1 0.496 0.996 0.500
Na2 0.996 0.496 0.500
Ir1 0.245 0.245 0.000
S1 0.745 0.745 0.000

Most intense lines, 2θ = 5–70°, by intensity:
2θ (°), d_spacing, I_rel
28.4, 3.148, 100.0
14.1, 6.296, 89.0
40.5, 2.226, 75.3
24.5, 3.635, 65.1
31.8, 2.816, 49.8
66.4, 1.408, 34.4
47.9, 1.898, 30.7
43.1, 2.099, 26.7
50.2, 1.817, 26.7
12.2, 7.270, 25.4



No. 3
The following is a computed powder X-ray diffraction pattern of Li5OsO8. It was derived from a crystal structure in Alexandria, relaxed with PBE, using Cu Kα X-rays.
Peak positions follow from Bragg's law for the DFT cell and can differ from measured ones.

Atomic structure:
a b c (Å): 5.597 5.597 5.597
angles (deg): 109.40 109.40 109.61
Positions (direct):
Li1 0.000 0.000 0.000
Li2 0.159 0.373 0.787
Li3 0.586 0.373 0.213
Li4 0.627 0.414 0.787
Li5 0.627 0.841 0.213
Os1 0.250 0.750 0.500
O1 0.306 0.099 0.793
O2 0.306 0.513 0.207
O3 0.439 0.053 0.386
O4 0.487 0.694 0.793
O5 0.667 0.053 0.614
O6 0.901 0.694 0.207
O7 0.947 0.333 0.386
O8 0.947 0.561 0.614

Most intense lines, 2θ = 5–70°, by intensity:
2θ (°), d_spacing, I_rel
19.4, 4.571, 100.0
53.0, 1.727, 28.4
34.0, 2.639, 28.1
27.6, 3.233, 27.6
44.3, 2.045, 19.8
44.4, 2.041, 13.7
60.8, 1.524, 12.9
39.4, 2.285, 10.0
68.0, 1.378, 7.3
64.4, 1.446, 5.0



No. 4
The following is a computed powder X-ray diffraction pattern of MgIn3Pb2. It was derived from a crystal structure in Alexandria, relaxed with PBE, using Cu Kα X-rays.
Peak positions follow from Bragg's law for the DFT cell and can differ from measured ones.

Atomic structure:
a b c (Å): 8.963 8.963 3.585
angles (deg): 90.00 90.00 144.36
Positions (direct):
Mg1 0.000 0.000 0.000
In1 0.331 0.669 0.000
In2 0.500 0.500 0.500
In3 0.669 0.331 0.000
Pb1 0.155 0.845 0.500
Pb2 0.845 0.155 0.500

Most intense lines, 2θ = 5–70°, by intensity:
2θ (°), d_spacing, I_rel
33.8, 2.654, 100.0
32.6, 2.743, 29.0
31.5, 2.844, 27.8
59.0, 1.566, 20.0
46.0, 1.974, 19.5
57.5, 1.603, 17.4
22.5, 3.949, 14.4
10.4, 8.533, 9.8
20.8, 4.266, 9.3
30.2, 2.956, 9.0



Q: Number 2 is which compound?
A: Ba6Na2IrS



Repeat the second record exactly.
The following is a computed powder X-ray diffraction pattern of Ba6Na2IrS. It was derived from a crystal structure in Alexandria, relaxed with PBE, using Cu Kα X-rays.
Peak positions follow from Bragg's law for the DFT cell and can differ from measured ones.

Atomic structure:
a b c (Å): 8.903 8.903 8.903
angles (deg): 119.99 119.99 90.02
Positions (direct):
Ba1 0.000 0.000 0.000
Ba2 0.000 0.000 0.510
Ba3 0.000 0.490 0.000
Ba4 0.490 0.000 0.000
Ba5 0.490 0.490 0.000
Ba6 0.490 0.490 0.490
Na1 0.496 0.996 0.500
Na2 0.996 0.496 0.500
Ir1 0.245 0.245 0.000
S1 0.745 0.745 0.000

Most intense lines, 2θ = 5–70°, by intensity:
2θ (°), d_spacing, I_rel
28.4, 3.148, 100.0
14.1, 6.296, 89.0
40.5, 2.226, 75.3
24.5, 3.635, 65.1
31.8, 2.816, 49.8
66.4, 1.408, 34.4
47.9, 1.898, 30.7
43.1, 2.099, 26.7
50.2, 1.817, 26.7
12.2, 7.270, 25.4